Record 1
The following is a theoretical powder X-ray diffraction pattern of SmScNi2B2C2. It was derived from the PBE geometry in OQMD, using Cu Kα, 1.54184 Å.

Largest 10 diffraction maxima, sorted by position, 2θ = 10–80°:
2θ/deg  intensity  h k l
11.84  52.0  0 0 1
24.97  24.8  1 0 0
27.72  72.1  1 0 1
34.78  61.3  1 0 2
36.06  48.4  0 0 3
37.65  100.0  1 1 1
43.29  64.3  1 1 2
51.23  40.1  2 0 0
61.80  28.1  1 1 4
64.24  33.1  2 0 3

Structure:
```
data_SmScNi2B2C2
_cell_length_a 3.566
_cell_length_b 3.566
_cell_length_c 7.473
_cell_angle_alpha 90.00
_cell_angle_beta 90.00
_cell_angle_gamma 90.00
_symmetry_space_group_name_H-M 'P 4 m m'
_symmetry_Int_Tables_number 99
loop_
_symmetry_equiv_pos_as_xyz
'x,y,z'
'-y,x,z'
'-x,-y,z'
'y,-x,z'
'-x,y,z'
'y,x,z'
'x,-y,z'
'-y,-x,z'
loop_
_atom_site_label
_atom_site_fract_x
_atom_site_fract_y
_atom_site_fract_z
Sm1 0.000 0.000 0.000
Sc1 0.500 0.500 0.678
Ni1 0.000 0.500 0.338
B1 0.000 0.000 0.477
B2 0.500 0.500 0.184
C1 0.000 0.000 0.675
C2 0.500 0.500 0.982
```



Record 2
The following is a theoretical powder X-ray diffraction pattern of SmTmNi2B2C2. It was derived from the PBE geometry in OQMD, using Cu Kα, 1.54184 Å.

Largest 10 diffraction maxima, sorted by position, 2θ = 10–80°:
2θ/deg  intensity  h k l
27.38  100.0  1 0 1
34.38  68.8  1 0 2
35.14  22.3  1 1 0
35.71  44.0  0 0 3
37.17  64.6  1 1 1
42.76  47.2  1 1 2
50.54  36.1  2 0 0
58.43  26.3  2 1 1
62.56  24.9  2 1 2
63.42  31.9  2 0 3

Structure:
```
data_SmTmNi2B2C2
_cell_length_a 3.612
_cell_length_b 3.612
_cell_length_c 7.543
_cell_angle_alpha 90.00
_cell_angle_beta 90.00
_cell_angle_gamma 90.00
_symmetry_space_group_name_H-M 'P 4 m m'
_symmetry_Int_Tables_number 99
loop_
_symmetry_equiv_pos_as_xyz
'x,y,z'
'-y,x,z'
'-x,-y,z'
'y,-x,z'
'-x,y,z'
'y,x,z'
'x,-y,z'
'-y,-x,z'
loop_
_atom_site_label
_atom_site_fract_x
_atom_site_fract_y
_atom_site_fract_z
Sm1 0.000 0.000 0.000
Tm1 0.500 0.500 0.665
Ni1 0.000 0.500 0.334
B1 0.000 0.000 0.474
B2 0.500 0.500 0.184
C1 0.000 0.000 0.672
C2 0.500 0.500 0.986
```



Record 3
The following is a theoretical powder X-ray diffraction pattern of Tb3Ni4B4C3. It was derived from the PBE geometry in OQMD, using Cu Kα, 1.54184 Å.

Largest 10 diffraction maxima, sorted by position, 2θ = 10–80°:
2θ/deg  intensity  h k l
26.94  100.0  1 0 3
35.20  81.6  1 0 7
35.46  52.0  0 0 10
38.12  70.6  1 1 4
41.44  56.2  1 1 6
50.75  42.2  2 0 0
53.51  18.9  1 0 13
58.38  25.6  2 1 3
63.25  24.7  2 1 7
63.43  36.8  2 0 10

Structure:
```
data_Tb3Ni4B4C3
_cell_length_a 3.598
_cell_length_b 3.598
_cell_length_c 25.314
_cell_angle_alpha 90.00
_cell_angle_beta 90.00
_cell_angle_gamma 90.00
_symmetry_space_group_name_H-M 'I 4/m m m'
_symmetry_Int_Tables_number 139
_symmetry_space_group_name_Hall '-I 4 2'
loop_
_atom_site_label
_atom_site_fract_x
_atom_site_fract_y
_atom_site_fract_z
Tb1 0.000 0.000 0.000
Tb2 0.000 0.000 0.300
Ni1 0.000 0.500 0.100
B1 0.000 0.000 0.144
B2 0.000 0.000 0.441
C1 0.000 0.000 0.203
C2 0.000 0.000 0.500
```



Record 4
The following is a theoretical powder X-ray diffraction pattern of YTmNi2B2C2. It was derived from the PBE geometry in OQMD, using Cu Kα, 1.54184 Å.

Largest 10 diffraction maxima, sorted by position, 2θ = 10–80°:
2θ/deg  intensity  h k l
27.71  100.0  1 0 1
34.67  75.3  1 0 2
35.77  53.3  0 0 3
37.66  88.0  1 1 1
43.22  60.6  1 1 2
51.32  51.2  2 0 0
59.30  25.8  2 1 1
61.50  24.4  1 1 4
63.40  26.4  2 1 2
64.11  36.8  2 0 3

Structure:
```
data_YTmNi2B2C2
_cell_length_a 3.562
_cell_length_b 3.562
_cell_length_c 7.530
_cell_angle_alpha 90.00
_cell_angle_beta 90.00
_cell_angle_gamma 90.00
_symmetry_space_group_name_H-M 'P 4 m m'
_symmetry_Int_Tables_number 99
loop_
_symmetry_equiv_pos_as_xyz
'x,y,z'
'-y,x,z'
'-x,-y,z'
'y,-x,z'
'-x,y,z'
'y,x,z'
'x,-y,z'
'-y,-x,z'
loop_
_atom_site_label
_atom_site_fract_x
_atom_site_fract_y
_atom_site_fract_z
Y1 0.000 0.000 0.000
Tm1 0.500 0.500 0.670
Ni1 0.000 0.500 0.335
B1 0.000 0.000 0.482
B2 0.500 0.500 0.188
C1 0.000 0.000 0.680
C2 0.500 0.500 0.989
```



Record 5
The following is a theoretical powder X-ray diffraction pattern of B5Os3C2. It was derived from the PBE geometry in OQMD, using Cu Kα, 1.54184 Å.

Largest 10 diffraction maxima, sorted by position, 2θ = 10–80°:
2θ/deg  intensity  h k l
25.05  47.4  1 1 0
28.14  79.2  1 1 -1
29.52  100.0  2 0 1
30.40  66.8  1 1 1
34.24  56.6  2 0 -2
37.81  61.5  1 1 -2
41.25  62.3  1 1 2
41.61  61.1  3 1 -1
45.91  32.0  0 0 3
51.41  42.4  2 2 0

Structure:
```
data_B5Os3C2
_cell_length_a 8.018
_cell_length_b 3.984
_cell_length_c 6.040
_cell_angle_alpha 90.00
_cell_angle_beta 100.93
_cell_angle_gamma 90.00
_symmetry_space_group_name_H-M 'C 1 2 1'
_symmetry_Int_Tables_number 5
loop_
_symmetry_equiv_pos_as_xyz
'x,y,z'
'-x,y,-z'
'x+1/2,y+1/2,z'
'-x+1/2,y+1/2,-z'
loop_
_atom_site_label
_atom_site_fract_x
_atom_site_fract_y
_atom_site_fract_z
B1 0.000 0.000 0.000
B2 0.026 0.621 0.656
B3 0.193 0.331 0.772
Os1 0.000 0.121 0.500
Os2 0.211 0.330 0.153
C1 0.096 0.850 0.226
```



Record 6
The following is a theoretical powder X-ray diffraction pattern of Pr2BC. It was derived from the PBE geometry in OQMD, using Cu Kα, 1.54184 Å.

Largest 10 diffraction maxima, sorted by position, 2θ = 10–80°:
2θ/deg  intensity  h k l
25.83  74.2  1 1 -1
26.53  89.4  4 0 -2
27.48  100.0  2 0 1
28.62  94.0  2 0 -3
31.43  85.6  1 1 -2
31.82  89.3  3 1 -1
36.13  39.1  3 1 0
39.93  27.5  1 1 2
41.79  30.4  5 1 -2
46.50  32.3  5 1 -4

Structure:
```
data_Pr2BC
_cell_length_a 13.453
_cell_length_b 3.695
_cell_length_c 9.637
_cell_angle_alpha 90.00
_cell_angle_beta 131.47
_cell_angle_gamma 90.00
_symmetry_space_group_name_H-M 'C 1 2/m 1'
_symmetry_Int_Tables_number 12
loop_
_symmetry_equiv_pos_as_xyz
'x,y,z'
'-x,-y,-z'
'-x,y,-z'
'x,-y,z'
'x+1/2,y+1/2,z'
'-x+1/2,-y+1/2,-z'
'-x+1/2,y+1/2,-z'
'x+1/2,-y+1/2,z'
loop_
_atom_site_label
_atom_site_fract_x
_atom_site_fract_y
_atom_site_fract_z
Pr1 0.059 0.000 0.360
Pr2 0.208 0.500 0.119
B1 0.074 0.500 0.607
C1 0.127 0.500 0.802
```



Record 7
The following is a theoretical powder X-ray diffraction pattern of Pr5B2C5. It was derived from the PBE geometry in OQMD, using Cu Kα, 1.54184 Å.

Largest 10 diffraction maxima, sorted by position, 2θ = 10–80°:
2θ/deg  intensity  h k l
24.34  31.2  2 1 1
28.11  100.0  2 1 2
32.34  30.8  0 0 4
32.69  35.0  3 1 0
33.53  52.3  2 1 3
33.70  60.7  3 1 1
46.64  16.8  3 1 4
46.90  18.5  4 2 0
53.18  24.5  3 1 5
55.58  34.1  5 0 2

Structure:
```
data_Pr5B2C5
_cell_length_a 8.663
_cell_length_b 8.663
_cell_length_c 11.075
_cell_angle_alpha 90.00
_cell_angle_beta 90.00
_cell_angle_gamma 90.00
_symmetry_space_group_name_H-M 'P 4/n c c'
_symmetry_Int_Tables_number 130
loop_
_symmetry_equiv_pos_as_xyz
'x,y,z'
'-x,-y,-z'
'-y+1/2,x,z'
'y+1/2,-x,-z'
'-x+1/2,-y+1/2,z'
'x+1/2,y+1/2,-z'
'y,-x+1/2,z'
'-y,x+1/2,-z'
'x+1/2,-y,-z+1/2'
'-x+1/2,y,z+1/2'
'-y,-x,-z+1/2'
'y,x,z+1/2'
'-x,y+1/2,-z+1/2'
'x,-y+1/2,z+1/2'
'y+1/2,x+1/2,-z+1/2'
'-y+1/2,-x+1/2,z+1/2'
loop_
_atom_site_label
_atom_site_fract_x
_atom_site_fract_y
_atom_site_fract_z
Pr1 0.037 0.657 0.102
Pr2 0.250 0.250 0.144
B1 0.094 0.594 0.750
C1 0.051 0.646 0.871
C2 0.250 0.250 0.405
```



Record 8
The following is a theoretical powder X-ray diffraction pattern of ScU2B6C3. It was derived from the PBE geometry in OQMD, using Cu Kα, 1.54184 Å.

Largest 10 diffraction maxima, sorted by position, 2θ = 10–80°:
2θ/deg  intensity  h k l
15.72  47.9  1 0 0
26.28  26.3  0 0 1
27.40  92.7  1 1 0
30.77  21.4  1 0 1
38.33  100.0  1 1 1
48.45  24.5  3 0 0
55.95  28.5  3 0 1
56.56  15.3  2 2 0
61.69  20.7  1 1 2
63.40  20.3  2 2 1

Structure:
```
data_ScU2B6C3
_cell_length_a 6.5090
_cell_length_b 6.5090
_cell_length_c 3.3910
_cell_angle_alpha 90.00
_cell_angle_beta 90.00
_cell_angle_gamma 120.00
_symmetry_space_group_name_H-M 'P 6/m m m'
_symmetry_Int_Tables_number 191
_symmetry_space_group_name_Hall '-P 6 2'
loop_
_atom_site_label
_atom_site_fract_x
_atom_site_fract_y
_atom_site_fract_z
Sc1 0.0000 0.0000 0.0000
U1 0.3333 0.6667 0.0000
B1 0.0000 0.2712 0.5000
C1 0.0000 0.5000 0.5000
```



Record 9
The following is a theoretical powder X-ray diffraction pattern of Sm3BC3. It was derived from the PBE geometry in OQMD, using Cu Kα, 1.54184 Å.

Largest 10 diffraction maxima, sorted by position, 2θ = 10–80°:
2θ/deg  intensity  h k l
26.13  54.4  1 1 2
28.96  49.6  1 1 3
32.56  100.0  1 1 4
33.39  51.4  0 0 6
33.90  88.8  2 0 0
48.30  35.8  2 0 6
48.70  27.2  2 2 1
57.09  33.0  1 3 3
62.73  19.2  1 1 10
63.89  20.5  2 2 7

Structure:
```
data_Sm3BC3
_cell_length_a 5.294
_cell_length_b 5.355
_cell_length_c 16.111
_cell_angle_alpha 90.00
_cell_angle_beta 90.00
_cell_angle_gamma 90.00
_symmetry_space_group_name_H-M 'C m c m'
_symmetry_Int_Tables_number 63
_symmetry_space_group_name_Hall '-C 2c 2'
loop_
_atom_site_label
_atom_site_fract_x
_atom_site_fract_y
_atom_site_fract_z
Sm1 0.000 0.081 0.100
Sm2 0.000 0.413 0.750
B1 0.000 0.500 0.000
C1 0.000 0.102 0.250
C2 0.000 0.406 0.585
```



Record 10
The following is a theoretical powder X-ray diffraction pattern of Ta7B4C4. It was derived from the PBE geometry in OQMD, using Cu Kα, 1.54184 Å.

Largest 10 diffraction maxima, sorted by position, 2θ = 10–80°:
2θ/deg  intensity  h k l
33.94  50.8  0 1 7
34.51  100.0  1 0 7
37.52  22.9  0 1 9
39.02  34.2  0 0 14
40.07  44.1  1 1 0
40.48  19.0  1 1 2
41.65  29.9  0 1 11
57.19  37.5  0 2 0
61.72  20.6  1 1 16
68.56  28.6  1 2 7

Structure:
```
data_Ta7B4C4
_cell_length_a 3.145
_cell_length_b 3.220
_cell_length_c 32.315
_cell_angle_alpha 90.00
_cell_angle_beta 90.00
_cell_angle_gamma 90.00
_symmetry_space_group_name_H-M 'I m m m'
_symmetry_Int_Tables_number 71
_symmetry_space_group_name_Hall '-I 2 2'
loop_
_atom_site_label
_atom_site_fract_x
_atom_site_fract_y
_atom_site_fract_z
Ta1 0.000 0.000 0.000
Ta2 0.000 0.500 0.147
Ta3 0.000 0.500 0.286
Ta4 0.000 0.500 0.418
B1 0.000 0.000 0.472
B2 0.000 0.500 0.057
C1 0.000 0.500 0.215
C2 0.000 0.500 0.352
```



Record 11
The following is a theoretical powder X-ray diffraction pattern of Tb3BC3. It was derived from the PBE geometry in OQMD, using Cu Kα, 1.54184 Å.

Largest 10 diffraction maxima, sorted by position, 2θ = 10–80°:
2θ/deg  intensity  h k l
26.74  50.3  1 1 2
29.58  50.4  1 1 3
33.19  100.0  1 1 4
33.75  36.4  0 0 6
34.73  48.2  2 0 0
34.85  38.0  0 2 1
49.21  24.8  2 0 6
50.02  26.8  2 2 1
58.65  30.2  1 3 3
65.31  20.8  2 2 7

Structure:
```
data_Tb3BC3
_cell_length_a 5.166
_cell_length_b 5.217
_cell_length_c 15.932
_cell_angle_alpha 90.00
_cell_angle_beta 90.00
_cell_angle_gamma 90.00
_symmetry_space_group_name_H-M 'C m c m'
_symmetry_Int_Tables_number 63
_symmetry_space_group_name_Hall '-C 2c 2'
loop_
_atom_site_label
_atom_site_fract_x
_atom_site_fract_y
_atom_site_fract_z
Tb1 0.000 0.083 0.101
Tb2 0.000 0.411 0.750
B1 0.000 0.500 0.000
C1 0.000 0.098 0.250
C2 0.000 0.406 0.586
```



Record 12
The following is a theoretical powder X-ray diffraction pattern of Tb4B3C4. It was derived from the PBE geometry in OQMD, using Cu Kα, 1.54184 Å.

Largest 10 diffraction maxima, sorted by position, 2θ = 10–80°:
2θ/deg  intensity  h k l
25.33  33.5  0 1 1
26.03  52.5  0 1 -1
27.27  84.8  1 0 -1
30.17  86.8  0 0 4
31.31  51.8  1 0 3
32.71  73.5  0 1 3
34.36  49.7  0 1 -3
35.26  55.2  1 -1 0
35.50  100.0  1 1 0
36.62  49.5  1 1 2

Structure:
```
data_Tb4B3C4
_cell_length_a 3.591
_cell_length_b 3.631
_cell_length_c 11.991
_cell_angle_alpha 87.29
_cell_angle_beta 81.61
_cell_angle_gamma 89.92
_symmetry_space_group_name_H-M 'P -1'
_symmetry_Int_Tables_number 2
loop_
_symmetry_equiv_pos_as_xyz
'x,y,z'
'-x,-y,-z'
loop_
_atom_site_label
_atom_site_fract_x
_atom_site_fract_y
_atom_site_fract_z
Tb1 0.041 0.451 0.363
Tb2 0.360 0.018 0.848
B1 0.156 0.496 0.046
B2 0.500 0.000 0.500
C1 0.130 0.478 0.170
C2 0.465 0.051 0.623
```